This entry pairs a crystal structure of Li5In2Ag4 with its calculated powder X-ray diffraction pattern. Radiation: a wavelength of 1.5418 Å. Structure: a structure optimized by DFT (PBE).

Largest 10 diffraction maxima, in order of falling intensity, 2θ = 10–90°:
4.586 Å, I 100; 2.453 Å, I 53; 2.307 Å, I 38; 2.223 Å, I 35; 2.669 Å, I 34; 2.108 Å, I 24; 1.496 Å, I 11; 2.293 Å, I 10; 1.439 Å, I 8; 2.300 Å, I 8

Structure:
```
data_Li5In2Ag4
_chemical_formula_sum 'Li5 In2 Ag4'
_symmetry_space_group_name_H-M 'P 1'
_symmetry_Int_Tables_number 1
_cell_length_a 6.5399
_cell_length_b 6.5399
_cell_length_c 8.3072
_cell_angle_alpha 125.77
_cell_angle_beta 125.77
_cell_angle_gamma 48.18
loop_
_symmetry_equiv_pos_as_xyz
'x,y,z'
loop_
_atom_site_label
_atom_site_fract_x
_atom_site_fract_y
_atom_site_fract_z
Li1 0.0000 0.0000 0.0000
Li2 0.2466 0.7470 0.3194
Li3 0.2530 0.7534 0.6806
Li4 0.7470 0.2466 0.3194
Li5 0.7534 0.2530 0.6806
In1 0.3157 0.3157 0.8041
In2 0.6843 0.6843 0.1959
Ag1 0.2385 0.2385 0.0600
Ag2 0.2434 0.2434 0.4050
Ag3 0.7566 0.7566 0.5950
Ag4 0.7615 0.7615 0.9400
```

=====

This entry pairs a crystal structure of Li2In7Ag2 with its calculated powder X-ray diffraction pattern. Radiation: a wavelength of 1.5418 Å. Structure: a structure optimized by DFT (PBE).

Largest 10 diffraction maxima, in order of falling intensity, 2θ = 10–90°:
2.479 Å, I 100; 2.811 Å, I 91; 2.392 Å, I 80; 2.835 Å, I 79; 2.538 Å, I 67; 1.472 Å, I 50; 2.290 Å, I 35; 2.946 Å, I 35; 2.133 Å, I 30; 2.330 Å, I 27

Structure:
```
data_Li2In7Ag2
_chemical_formula_sum 'Li2 In7 Ag2'
_symmetry_space_group_name_H-M 'P 1'
_symmetry_Int_Tables_number 1
_cell_length_a 5.9026
_cell_length_b 5.9026
_cell_length_c 7.4654
_cell_angle_alpha 98.96
_cell_angle_beta 98.96
_cell_angle_gamma 101.58
loop_
_symmetry_equiv_pos_as_xyz
'x,y,z'
loop_
_atom_site_label
_atom_site_fract_x
_atom_site_fract_y
_atom_site_fract_z
Li1 0.0985 0.0985 0.3359
Li2 0.9015 0.9015 0.6641
In1 0.0240 0.4123 0.6895
In2 0.3354 0.3354 0.0775
In3 0.4123 0.0240 0.6895
In4 0.5000 0.5000 0.5000
In5 0.5877 0.9760 0.3105
In6 0.6646 0.6646 0.9225
In7 0.9760 0.5877 0.3105
Ag1 0.1851 0.8149 0.0000
Ag2 0.8149 0.1851 0.0000
```

=====

This entry pairs a crystal structure of LiInAg2 with its calculated powder X-ray diffraction pattern. Radiation: a wavelength of 1.5418 Å. Structure: a structure optimized by DFT (PBE).

Largest 10 diffraction maxima, in order of falling intensity, 2θ = 10–90°:
2.336 Å, I 100; 2.358 Å, I 53; 1.357 Å, I 33; 2.972 Å, I 29; 6.548 Å, I 20; 1.667 Å, I 17; 1.345 Å, I 15; 3.335 Å, I 14; 1.168 Å, I 9; 1.602 Å, I 8

Structure:
```
data_LiInAg2
_chemical_formula_sum 'Li1 In1 Ag2'
_symmetry_space_group_name_H-M 'P 1'
_symmetry_Int_Tables_number 1
_cell_length_a 3.3347
_cell_length_b 3.3347
_cell_length_c 6.5482
_cell_angle_alpha 90.00
_cell_angle_beta 90.00
_cell_angle_gamma 90.00
loop_
_symmetry_equiv_pos_as_xyz
'x,y,z'
loop_
_atom_site_label
_atom_site_fract_x
_atom_site_fract_y
_atom_site_fract_z
Li1 0.0000 0.0000 0.0000
In1 0.5000 0.5000 0.7384
Ag1 0.0000 0.0000 0.4658
Ag2 0.5000 0.5000 0.2073
```

=====

This entry pairs a crystal structure of LiIn3Ag with its calculated powder X-ray diffraction pattern. Radiation: a wavelength of 1.5418 Å. Structure: a structure optimized by DFT (PBE).

Largest 10 diffraction maxima, in order of falling intensity, 2θ = 10–90°:
2.266 Å, I 100; 2.586 Å, I 55; 2.758 Å, I 51; 3.667 Å, I 38; 2.453 Å, I 36; 2.576 Å, I 35; 2.961 Å, I 24; 2.421 Å, I 21; 4.669 Å, I 16; 2.123 Å, I 16

Structure:
```
data_LiIn3Ag
_chemical_formula_sum 'Li4 In12 Ag4'
_symmetry_space_group_name_H-M 'P 1'
_symmetry_Int_Tables_number 1
_cell_length_a 7.9639
_cell_length_b 5.9222
_cell_length_c 9.8140
_cell_angle_alpha 90.00
_cell_angle_beta 107.68
_cell_angle_gamma 90.00
loop_
_symmetry_equiv_pos_as_xyz
'x,y,z'
loop_
_atom_site_label
_atom_site_fract_x
_atom_site_fract_y
_atom_site_fract_z
Li1 0.1395 0.2429 0.1613
Li2 0.1395 0.2571 0.6613
Li3 0.8605 0.7429 0.3387
Li4 0.8605 0.7571 0.8387
In1 0.1122 0.7369 0.1527
In2 0.1122 0.7631 0.6527
In3 0.2964 0.0128 0.4505
In4 0.2964 0.4872 0.9505
In5 0.4977 0.5017 0.6889
In6 0.4977 0.9983 0.1889
In7 0.5023 0.0017 0.8111
In8 0.5023 0.4983 0.3111
In9 0.7036 0.5128 0.0495
In10 0.7036 0.9872 0.5495
In11 0.8878 0.2369 0.3473
In12 0.8878 0.2631 0.8473
Ag1 0.2024 0.5060 0.4259
Ag2 0.2024 0.9940 0.9259
Ag3 0.7976 0.0060 0.0741
Ag4 0.7976 0.4940 0.5741
```

=====

This entry pairs a crystal structure of Li6InAg3 with its calculated powder X-ray diffraction pattern. Radiation: a wavelength of 1.5418 Å. Structure: a structure optimized by DFT (PBE).

Largest 10 diffraction maxima, in order of falling intensity, 2θ = 10–90°:
2.794 Å, I 100; 3.491 Å, I 83; 4.471 Å, I 68; 2.032 Å, I 35; 2.369 Å, I 28; 2.961 Å, I 26; 2.181 Å, I 23; 1.440 Å, I 22; 2.439 Å, I 22; 2.235 Å, I 19

Structure:
```
data_Li6InAg3
_chemical_formula_sum 'Li6 In1 Ag3'
_symmetry_space_group_name_H-M 'P 1'
_symmetry_Int_Tables_number 1
_cell_length_a 6.6672
_cell_length_b 6.6672
_cell_length_c 6.6672
_cell_angle_alpha 113.87
_cell_angle_beta 113.87
_cell_angle_gamma 113.87
loop_
_symmetry_equiv_pos_as_xyz
'x,y,z'
loop_
_atom_site_label
_atom_site_fract_x
_atom_site_fract_y
_atom_site_fract_z
Li1 0.0779 0.0779 0.8442
Li2 0.0779 0.8442 0.0779
Li3 0.2655 0.2655 0.6562
Li4 0.2655 0.6562 0.2655
Li5 0.6562 0.2655 0.2655
Li6 0.8442 0.0779 0.0779
In1 0.5214 0.5214 0.5214
Ag1 0.2404 0.7059 0.7059
Ag2 0.7059 0.2404 0.7059
Ag3 0.7059 0.7059 0.2404
```

=====

This entry pairs a crystal structure of Li2MgInAg with its calculated powder X-ray diffraction pattern. Radiation: a wavelength of 1.5418 Å. Structure: a structure optimized by DFT (PBE).

Largest 10 diffraction maxima, in order of falling intensity, 2θ = 10–90°:
4.272 Å, I 100; 2.384 Å, I 93; 2.451 Å, I 88; 3.516 Å, I 75; 3.466 Å, I 52; 2.347 Å, I 51; 2.242 Å, I 49; 3.023 Å, I 43; 1.621 Å, I 31; 4.484 Å, I 29

Structure:
```
data_Li2MgInAg
_chemical_formula_sum 'Li4 Mg2 In2 Ag2'
_symmetry_space_group_name_H-M 'P 1'
_symmetry_Int_Tables_number 1
_cell_length_a 7.3947
_cell_length_b 7.3947
_cell_length_c 6.0517
_cell_angle_alpha 92.54
_cell_angle_beta 92.54
_cell_angle_gamma 35.30
loop_
_symmetry_equiv_pos_as_xyz
'x,y,z'
loop_
_atom_site_label
_atom_site_fract_x
_atom_site_fract_y
_atom_site_fract_z
Li1 0.1075 0.1075 0.4772
Li2 0.3027 0.3027 0.3247
Li3 0.6973 0.6973 0.6753
Li4 0.8925 0.8925 0.5228
Mg1 0.1130 0.1130 0.9769
Mg2 0.8870 0.8870 0.0231
In1 0.4936 0.4936 0.7441
In2 0.5064 0.5064 0.2559
Ag1 0.2929 0.2929 0.8035
Ag2 0.7071 0.7071 0.1965
```